Record 1
This entry pairs a crystal structure of K2HgCl4 with its theoretical powder X-ray diffraction pattern. Radiation: a wavelength of 1.5418 Å. Structure: a structure optimized by DFT (GGA-PBE).
Neutral-atom scattering factors, no anomalous dispersion.

Principal peaks in the range 10° ≤ 2θ ≤ 80°, low angle first:
hkl, two_theta, intensity
1 1 0, 14.56, 93
1 1 1, 19.63, 100
2 0 0, 21.90, 34
2 0 1, 25.59, 51
2 2 0, 29.37, 37
2 2 2, 39.86, 29

Atomic structure:
Unit cell a=8.118 b=9.183 c=6.766 alpha=90.00 beta=90.00 gamma=90.00
Fractional positions:
K: 0.000 0.000 0.000
K: 0.000 0.500 0.000
K: 0.500 0.000 0.000
K: 0.500 0.500 0.000
Hg: 0.250 0.250 0.468
Hg: 0.750 0.750 0.532
Cl: 0.250 0.000 0.390
Cl: 0.250 0.250 0.867
Cl: 0.250 0.500 0.390
Cl: 0.250 0.750 0.918
Cl: 0.750 0.000 0.610
Cl: 0.750 0.250 0.082
Cl: 0.750 0.500 0.610
Cl: 0.750 0.750 0.133



Record 2
This entry pairs a crystal structure of CsCdH2 with its theoretical powder X-ray diffraction pattern. Radiation: a wavelength of 1.5418 Å. Structure: a structure optimized by DFT (GGA-PBE).
Neutral-atom scattering factors, no anomalous dispersion.

Principal peaks in the range 10° ≤ 2θ ≤ 80°, low angle first:
hkl, two_theta, intensity
3 0 1, 21.76, 70
1 0 2, 25.47, 75
0 1 1, 26.04, 72
1 1 1, 26.73, 100
3 1 1, 31.76, 87
0 1 3, 44.39, 77

Atomic structure:
Unit cell a=14.889 b=3.891 c=7.194 alpha=90.00 beta=90.00 gamma=90.00
Fractional positions:
Cs: 0.143 0.250 0.115
Cs: 0.357 0.750 0.615
Cs: 0.643 0.250 0.385
Cs: 0.857 0.750 0.885
Cd: 0.070 0.750 0.576
Cd: 0.430 0.250 0.076
Cd: 0.570 0.750 0.924
Cd: 0.930 0.250 0.424
H: 0.084 0.750 0.830
H: 0.176 0.750 0.441
H: 0.324 0.250 0.941
H: 0.416 0.250 0.330
H: 0.584 0.750 0.670
H: 0.676 0.750 0.059
H: 0.824 0.250 0.559
H: 0.916 0.250 0.170



Record 3
This entry pairs a crystal structure of Hf2Si7Ni12 with its theoretical powder X-ray diffraction pattern. Radiation: a wavelength of 1.5418 Å. Structure: a structure optimized by DFT (GGA-PBE).
Neutral-atom scattering factors, no anomalous dispersion.

Principal peaks in the range 10° ≤ 2θ ≤ 80°, low angle first:
hkl, two_theta, intensity
1 0 1, 27.61, 13
1 2 0, 29.51, 12
2 2 0, 38.96, 14
3 -1 1, 39.21, 100
0 0 2, 51.79, 13
4 1 0, 52.36, 19

Atomic structure:
Unit cell a=9.247 b=9.247 c=3.530 alpha=90.00 beta=90.00 gamma=120.00
Fractional positions:
Hf: 0.333 0.667 0.248
Hf: 0.667 0.333 0.752
Si: 0.000 0.000 0.500
Si: 0.120 0.410 0.749
Si: 0.290 0.880 0.749
Si: 0.410 0.290 0.251
Si: 0.590 0.710 0.749
Si: 0.710 0.120 0.251
Si: 0.880 0.590 0.251
Ni: 0.058 0.619 0.752
Ni: 0.114 0.852 0.250
Ni: 0.148 0.262 0.250
Ni: 0.262 0.114 0.750
Ni: 0.381 0.440 0.752
Ni: 0.440 0.058 0.248
Ni: 0.560 0.942 0.752
Ni: 0.619 0.560 0.248
Ni: 0.738 0.886 0.250
Ni: 0.852 0.738 0.750
Ni: 0.886 0.148 0.750
Ni: 0.942 0.381 0.248



Record 4
This entry pairs a crystal structure of Dy2Ho2Ru3 with its theoretical powder X-ray diffraction pattern. Radiation: a wavelength of 1.5418 Å. Structure: a structure optimized by DFT (GGA-PBE).
Neutral-atom scattering factors, no anomalous dispersion.

Principal peaks in the range 10° ≤ 2θ ≤ 80°, low angle first:
hkl, two_theta, intensity
2 0 1, 37.07, 34
0 1 2, 37.50, 100
2 1 -1, 37.67, 66
0 0 4, 53.50, 12
2 1 3, 67.01, 12
2 1 -5, 67.53, 12

Atomic structure:
Unit cell a=6.799 b=3.356 c=7.617 alpha=90.00 beta=115.92 gamma=90.00
Fractional positions:
Dy: 0.126 0.000 0.246
Dy: 0.874 0.000 0.754
Ho: 0.385 0.000 0.757
Ho: 0.615 0.000 0.243
Ru: 0.252 0.500 0.005
Ru: 0.500 0.500 0.500
Ru: 0.748 0.500 0.995



Record 5
This entry pairs a crystal structure of Cs3Hg2F2 with its theoretical powder X-ray diffraction pattern. Radiation: a wavelength of 1.5418 Å. Structure: a structure optimized by DFT (GGA-PBE).
Neutral-atom scattering factors, no anomalous dispersion.

Principal peaks in the range 10° ≤ 2θ ≤ 80°, low angle first:
hkl, two_theta, intensity
0 1 1, 22.33, 40
1 1 0, 23.70, 100
1 0 2, 24.08, 93
2 0 -1, 24.76, 76
0 1 2, 27.72, 95
2 1 -3, 40.24, 51

Atomic structure:
Unit cell a=7.361 b=4.387 c=9.608 alpha=90.00 beta=99.59 gamma=90.00
Fractional positions:
Cs: 0.000 0.000 0.000
Cs: 0.454 0.500 0.773
Cs: 0.546 0.500 0.227
Hg: 0.186 0.000 0.441
Hg: 0.814 0.000 0.559
F: 0.264 0.500 0.998
F: 0.736 0.500 0.002



Record 6
This entry pairs a crystal structure of Th3Sc2Sb3 with its theoretical powder X-ray diffraction pattern. Radiation: a wavelength of 1.5418 Å. Structure: a structure optimized by DFT (GGA-PBE).
Neutral-atom scattering factors, no anomalous dispersion.

Principal peaks in the range 10° ≤ 2θ ≤ 80°, low angle first:
hkl, two_theta, intensity
1 1 0, 19.61, 18
0 0 2, 28.98, 28
2 1 0, 30.15, 16
2 1 1, 33.55, 100
1 1 2, 35.24, 24
2 1 3, 54.35, 26

Atomic structure:
Unit cell a=9.055 b=9.055 c=6.161 alpha=90.00 beta=90.00 gamma=120.00
Fractional positions:
Th: 0.000 0.245 0.250
Th: 0.000 0.755 0.750
Th: 0.245 0.000 0.250
Th: 0.245 0.245 0.750
Th: 0.755 0.000 0.750
Th: 0.755 0.755 0.250
Sc: 0.333 0.667 0.000
Sc: 0.333 0.667 0.500
Sc: 0.667 0.333 0.000
Sc: 0.667 0.333 0.500
Sb: 0.000 0.402 0.750
Sb: 0.000 0.598 0.250
Sb: 0.402 0.000 0.750
Sb: 0.402 0.402 0.250
Sb: 0.598 0.000 0.250
Sb: 0.598 0.598 0.750